Record 1
Structure and computed X-ray diffraction stick pattern of Ba3Ga4Hg4 (a cell relaxed with GGA-PBE; Cu Kα, 1.54184 Å).
Peak positions follow from Bragg's law for the DFT cell and can differ from measured ones.

Top 10 peaks for 2θ from 10° to 90°, in order of falling intensity:
d [Å], 2θ/deg, I (rel.)
3.277, 27.2, 100
3.096, 28.8, 99
3.045, 29.3, 71
2.387, 37.7, 56
2.375, 37.9, 55
2.643, 33.9, 53
1.890, 48.1, 48
4.688, 18.9, 38
2.282, 39.5, 38
2.178, 41.4, 37

Lattice parameters (Å, degrees): 4.749 4.773 14.673 99.33 99.22 90.12
Positions (direct):
Ba 0.000 0.000 0.000
Ba 0.153 0.653 0.306
Ba 0.847 0.347 0.694
Ga 0.248 0.250 0.500
Ga 0.403 0.901 0.801
Ga 0.597 0.099 0.199
Ga 0.752 0.750 0.500
Hg 0.305 0.804 0.608
Hg 0.446 0.447 0.893
Hg 0.554 0.553 0.107
Hg 0.695 0.196 0.392

Record 2
Structure and computed X-ray diffraction stick pattern of Ba2Ga3Hg (a cell relaxed with GGA-PBE; Cu Kα, 1.54184 Å).
Peak positions follow from Bragg's law for the DFT cell and can differ from measured ones.

Top 10 peaks for 2θ from 10° to 90°, in order of falling intensity:
d [Å], 2θ/deg, I (rel.)
3.123, 28.6, 100
3.154, 28.3, 48
2.297, 39.2, 41
1.711, 53.6, 33
2.563, 35.0, 29
1.838, 49.6, 20
2.262, 39.9, 20
1.696, 54.1, 16
1.119, 87.1, 13
1.568, 58.9, 13

Lattice parameters (Å, degrees): 4.524 5.126 8.000 90.00 90.00 90.00
Positions (direct):
Ba 0.000 0.000 0.000
Ba 0.500 0.000 0.489
Ga 0.000 0.500 0.316
Ga 0.500 0.500 0.166
Ga 0.500 0.500 0.846
Hg 0.000 0.500 0.658

Record 3
Structure and computed X-ray diffraction stick pattern of Ba6Ga2HgN (a cell relaxed with GGA-PBE; Cu Kα, 1.54184 Å).
Peak positions follow from Bragg's law for the DFT cell and can differ from measured ones.

Top 10 peaks for 2θ from 10° to 90°, in order of falling intensity:
d [Å], 2θ/deg, I (rel.)
3.515, 25.3, 100
3.383, 26.3, 89
3.630, 24.5, 66
2.354, 38.2, 42
2.767, 32.4, 39
3.599, 24.7, 37
3.247, 27.5, 29
2.864, 31.2, 27
5.889, 15.0, 26
2.703, 33.1, 26

Lattice parameters (Å, degrees): 7.890 8.867 13.542 90.00 122.21 90.00
Positions (direct):
Ba 0.092 0.043 0.222
Ba 0.092 0.457 0.722
Ba 0.200 0.712 0.064
Ba 0.200 0.788 0.564
Ba 0.357 0.152 0.061
Ba 0.357 0.348 0.561
Ba 0.643 0.652 0.439
Ba 0.643 0.848 0.939
Ba 0.800 0.212 0.436
Ba 0.800 0.288 0.936
Ba 0.908 0.543 0.278
Ba 0.908 0.957 0.778
Ga 0.291 0.104 0.747
Ga 0.291 0.396 0.247
Ga 0.709 0.604 0.753
Ga 0.709 0.896 0.253
Hg 0.500 0.000 0.500
Hg 0.500 0.500 0.000
N 0.000 0.000 0.000
N 0.000 0.500 0.500

Record 4
Structure and computed X-ray diffraction stick pattern of Ba2GaHg4Sb2 (a cell relaxed with GGA-PBE; Cu Kα, 1.54184 Å).
Peak positions follow from Bragg's law for the DFT cell and can differ from measured ones.

Top 10 peaks for 2θ from 10° to 90°, in order of falling intensity:
d [Å], 2θ/deg, I (rel.)
2.996, 29.8, 100
2.551, 35.2, 38
1.851, 49.2, 29
2.690, 33.3, 26
1.545, 59.9, 18
1.605, 57.4, 18
1.498, 61.9, 12
1.199, 80.0, 11
1.803, 50.6, 11
2.347, 38.4, 10

Lattice parameters (Å, degrees): 7.413 7.413 7.413 121.77 121.77 86.96
Positions (direct):
Ba 0.250 0.750 0.500
Ba 0.750 0.250 0.500
Ga 0.000 0.000 0.000
Hg 0.282 0.282 0.563
Hg 0.282 0.718 0.000
Hg 0.718 0.282 0.000
Hg 0.718 0.718 0.437
Sb 0.257 0.257 0.000
Sb 0.743 0.743 0.000

Record 5
Structure and computed X-ray diffraction stick pattern of BaGa2TcHg (a cell relaxed with GGA-PBE; Cu Kα, 1.54184 Å).
Peak positions follow from Bragg's law for the DFT cell and can differ from measured ones.

Top 10 peaks for 2θ from 10° to 90°, in order of falling intensity:
d [Å], 2θ/deg, I (rel.)
2.921, 30.6, 100
2.460, 36.5, 74
1.814, 50.3, 59
2.686, 33.4, 47
3.480, 25.6, 45
4.921, 18.0, 36
1.460, 63.7, 29
1.495, 62.1, 27
1.740, 52.6, 26
2.126, 42.5, 23

Lattice parameters (Å, degrees): 4.921 4.921 5.372 90.00 90.00 90.00
Positions (direct):
Ba 0.000 0.000 0.000
Ga 0.000 0.500 0.500
Ga 0.500 0.000 0.500
Tc 0.500 0.500 0.500
Hg 0.500 0.500 0.000

Record 6
Structure and computed X-ray diffraction stick pattern of Ba3HoGa2O8 (a cell relaxed with GGA-PBE; Cu Kα, 1.54184 Å).
Peak positions follow from Bragg's law for the DFT cell and can differ from measured ones.

Top 10 peaks for 2θ from 10° to 90°, in order of falling intensity:
d [Å], 2θ/deg, I (rel.)
3.002, 29.8, 100
3.078, 29.0, 86
2.149, 42.0, 44
1.747, 52.4, 34
1.733, 52.8, 20
1.501, 61.8, 16
7.638, 11.6, 16
1.349, 69.7, 15
1.792, 50.9, 14
1.369, 68.5, 12

Lattice parameters (Å, degrees): 6.004 6.004 7.638 90.00 90.00 120.00
Positions (direct):
Ba 0.000 0.000 0.000
Ba 0.333 0.667 0.655
Ba 0.667 0.333 0.345
Ho 0.000 0.000 0.500
Ga 0.333 0.667 0.220
Ga 0.667 0.333 0.780
O 0.169 0.338 0.320
O 0.169 0.831 0.320
O 0.333 0.667 0.982
O 0.338 0.169 0.680
O 0.662 0.831 0.320
O 0.667 0.333 0.018
O 0.831 0.169 0.680
O 0.831 0.662 0.680

Record 7
Structure and computed X-ray diffraction stick pattern of Ba3GaI (a cell relaxed with GGA-PBE; Cu Kα, 1.54184 Å).
Peak positions follow from Bragg's law for the DFT cell and can differ from measured ones.

Top 10 peaks for 2θ from 10° to 90°, in order of falling intensity:
d [Å], 2θ/deg, I (rel.)
3.125, 28.6, 100
3.594, 24.8, 64
4.213, 21.1, 40
2.898, 30.9, 29
2.331, 38.6, 23
2.461, 36.5, 22
2.822, 31.7, 22
1.920, 47.4, 19
2.271, 39.7, 17
1.816, 50.2, 14

Lattice parameters (Å, degrees): 4.660 9.083 11.291 90.00 90.00 90.00
Positions (direct):
Ba 0.250 0.019 0.152
Ba 0.250 0.250 0.591
Ba 0.250 0.481 0.152
Ba 0.750 0.519 0.848
Ba 0.750 0.750 0.409
Ba 0.750 0.981 0.848
Ga 0.250 0.250 0.896
Ga 0.750 0.750 0.104
I 0.250 0.750 0.663
I 0.750 0.250 0.337

Record 8
Structure and computed X-ray diffraction stick pattern of Ba4Ga2I (a cell relaxed with GGA-PBE; Cu Kα, 1.54184 Å).
Peak positions follow from Bragg's law for the DFT cell and can differ from measured ones.

Top 10 peaks for 2θ from 10° to 90°, in order of falling intensity:
d [Å], 2θ/deg, I (rel.)
3.474, 25.6, 100
2.695, 33.2, 96
3.296, 27.1, 57
3.221, 27.7, 57
2.825, 31.7, 55
3.177, 28.1, 52
3.637, 24.5, 52
2.955, 30.2, 51
4.121, 21.6, 49
3.460, 25.7, 42

Lattice parameters (Å, degrees): 8.762 8.769 9.616 105.11 110.09 109.66
Positions (direct):
Ba 0.000 0.000 0.000
Ba 0.004 0.446 0.117
Ba 0.104 0.626 0.732
Ba 0.168 0.997 0.528
Ba 0.434 0.513 0.615
Ba 0.574 0.267 0.204
Ba 0.612 0.754 0.107
Ba 0.751 0.131 0.624
Ga 0.233 0.329 0.864
Ga 0.554 0.315 0.866
Ga 0.569 0.996 0.867
Ga 0.963 0.224 0.366
I 0.324 0.883 0.239
I 0.749 0.712 0.493